Rb4TlAu: theoretical PXRD pattern (a wavelength of 1.5418 Å), based on the PBE geometry in OQMD.
Intensities are scaled so that the largest is 100.

Main lines, sorted by position (2θ from 10° to 80°):
d = 5.945 Å, I = 31, (1 1 1); d = 5.384 Å, I = 56, (0 2 2); d = 3.450 Å, I = 33, (2 0 2); d = 3.398 Å, I = 100, (1 3 1); d = 3.288 Å, I = 73, (1 1 7); d = 2.952 Å, I = 63, (0 2 8); d = 2.782 Å, I = 36, (2 2 4); d = 2.532 Å, I = 47, (2 2 6); d = 1.887 Å, I = 30, (2 4 8); d = 1.713 Å, I = 37, (2 6 0)

Structural model:
```
data_Rb4TlAu
_chemical_formula_sum 'Rb32 Tl8 Au8'
_symmetry_space_group_name_H-M 'F m m m'
_symmetry_Int_Tables_number 69
_symmetry_space_group_name_Hall '-F 2 2'
_cell_length_a 7.130
_cell_length_b 11.715
_cell_length_c 27.341
_cell_angle_alpha 90.00
_cell_angle_beta 90.00
_cell_angle_gamma 90.00
loop_
_atom_site_label
_atom_site_fract_x
_atom_site_fract_y
_atom_site_fract_z
Rb1 0.000 0.000 0.207
Rb2 0.000 0.169 0.500
Rb3 0.000 0.176 0.357
Tl1 0.000 0.000 0.056
Au1 0.250 0.250 0.250
```